Diffraction record for LaSm7Ho3. The XRD peak list is simulated, not measured: it uses a cell relaxed with PBE and λ = 1.5418 Å (Cu Kα).
Lines closer than 0.1° are merged.

The 8 most intense peaks (2θ from 10° to 90°), sorted by position:
2θ/deg	Rel. int.
30.40	78.5
30.56	85.5
31.30	100.0
33.21	58.0
37.06	69.6
50.51	24.4
50.70	24.0
63.64	27.2

```
LaSm7Ho3
1.0
5.8824 -5.0543 0.0000
5.8824 5.0543 0.0000
-0.6558 0.0000 6.4103
La Sm Ho
1 7 3
Cartesian
0.0000 0.0000 0.0000
-0.3279 0.0000 3.2052
2.4614 1.7681 4.8651
2.9295 0.0000 1.8606
2.4614 -1.7681 4.8651
8.6475 1.7681 1.5453
8.1793 0.0000 4.5498
8.6475 -1.7681 1.5453
5.5544 1.7137 3.2052
5.8824 0.0000 0.0000
5.5544 -1.7137 3.2052
```